1.
Computed X-ray diffraction stick pattern
Compound: NaHgTe
Radiation: CuKα
Structure: a DFT-relaxed cell (GGA-PBE, Alexandria)
Neutral-atom scattering factors, no anomalous dispersion.

Most intense lines, 15° ≤ 2θ ≤ 90°, most intense first:
| Position (°2θ) | I/Imax |
| --- | --- |
| 34.34 | 100 |
| 20.83 | 87 |
| 40.50 | 49 |
| 61.50 | 37 |
| 54.12 | 21 |
| 49.35 | 18 |
| 82.61 | 16 |
| 65.68 | 16 |
| 76.25 | 16 |
| 72.36 | 11 |

a b c (Å): 5.223 5.223 5.223
angles (deg): 60.00 60.00 60.00
Fractional positions:
Na 0.000 0.000 0.000
Hg 0.500 0.500 0.500
Te 0.750 0.750 0.750



2.
Computed X-ray diffraction stick pattern
Compound: DyHg6Au
Radiation: CuKα
Structure: a DFT-relaxed cell (GGA-PBE, Alexandria)
Neutral-atom scattering factors, no anomalous dispersion.

Most intense lines, 15° ≤ 2θ ≤ 90°, most intense first:
| Position (°2θ) | I/Imax |
| --- | --- |
| 16.97 | 100 |
| 34.33 | 77 |
| 41.61 | 45 |
| 33.87 | 37 |
| 19.70 | 29 |
| 32.30 | 26 |
| 42.77 | 20 |
| 56.26 | 19 |
| 71.26 | 18 |
| 40.02 | 17 |

a b c (Å): 9.771 9.771 9.771
angles (deg): 39.11 39.11 39.11
Fractional positions:
Dy 0.000 0.000 0.000
Hg 0.254 0.744 0.744
Hg 0.256 0.256 0.746
Hg 0.256 0.746 0.256
Hg 0.744 0.254 0.744
Hg 0.744 0.744 0.254
Hg 0.746 0.256 0.256
Au 0.500 0.500 0.500



3.
Computed X-ray diffraction stick pattern
Compound: Y2N4O
Radiation: CuKα
Structure: a DFT-relaxed cell (GGA-PBE, Alexandria)
Neutral-atom scattering factors, no anomalous dispersion.

Most intense lines, 15° ≤ 2θ ≤ 90°, most intense first:
| Position (°2θ) | I/Imax |
| --- | --- |
| 32.81 | 100 |
| 35.14 | 77 |
| 25.67 | 67 |
| 45.89 | 65 |
| 50.54 | 40 |
| 57.56 | 38 |
| 61.57 | 32 |
| 28.57 | 32 |
| 59.09 | 23 |
| 80.11 | 21 |

a b c (Å): 6.751 6.751 6.751
angles (deg): 148.97 148.97 44.46
Fractional positions:
Y 0.138 0.138 0.000
Y 0.862 0.862 0.000
N 0.000 0.500 0.500
N 0.327 0.327 0.000
N 0.500 0.000 0.500
N 0.673 0.673 0.000
O 0.500 0.500 0.000